[1]
# KCF5
Calculated PXRD pattern, CuKα. Input: DFT lattice parameters and positions (PBE).
Lines closer than 0.1° are merged.

Most intense lines, 2θ from 10° to 90°, most intense first:
- 2θ = 22.11°, I = 100.0
- 2θ = 22.60°, I = 99.4
- 2θ = 24.29°, I = 62.5
- 2θ = 33.42°, I = 49.3
- 2θ = 41.14°, I = 31.9
- 2θ = 53.16°, I = 29.8
- 2θ = 45.10°, I = 25.4
- 2θ = 51.05°, I = 25.2
- 2θ = 38.60°, I = 23.3
- 2θ = 36.38°, I = 20.3

Crystal structure
```
KCF5
1.0
4.8098 0.0000 0.0000
0.0000 7.8697 0.0000
0.0000 0.0000 7.3272
K C F
2 2 10
Direct
0.0000 0.0000 0.0000 K
0.5000 0.5000 0.5000 K
0.0000 0.5000 0.9905 C
0.5000 0.0000 0.4905 C
0.0000 0.3603 0.0962 F
0.0000 0.5000 0.4831 F
0.0000 0.6397 0.0962 F
0.2282 0.5000 0.8857 F
0.2718 0.0000 0.3857 F
0.5000 0.0000 0.9831 F
0.5000 0.1397 0.5962 F
0.5000 0.8603 0.5962 F
0.7282 0.0000 0.3857 F
0.7718 0.5000 0.8857 F
```

---

[2]
# TaGaPO2
Calculated PXRD pattern, CuKα. Input: DFT lattice parameters and positions (PBE).
Lines closer than 0.1° are merged.

Most intense lines, 2θ from 10° to 90°, most intense first:
- 2θ = 28.48°, I = 100.0
- 2θ = 32.50°, I = 45.3
- 2θ = 22.83°, I = 33.3
- 2θ = 33.97°, I = 32.6
- 2θ = 47.73°, I = 31.8
- 2θ = 55.55°, I = 31.8
- 2θ = 46.63°, I = 26.1
- 2θ = 58.93°, I = 25.3
- 2θ = 16.80°, I = 20.8
- 2θ = 57.48°, I = 14.3

Crystal structure
```
TaGaPO2
1.0
3.8958 0.0000 0.0000
0.0000 3.8958 0.0000
0.0000 0.0000 5.2776
Ta Ga P O
1 1 1 2
Direct
0.0000 0.0000 0.0000 Ta
0.5000 0.5000 0.5000 Ga
0.0000 0.0000 0.5000 P
0.0000 0.5000 0.0000 O
0.5000 0.0000 0.0000 O
```

---

[3]
# Tm4Mg9Sn11
Calculated PXRD pattern, CuKα. Input: DFT lattice parameters and positions (PBE).
Lines closer than 0.1° are merged.

Most intense lines, 2θ from 10° to 90°, most intense first:
- 2θ = 35.13°, I = 100.0
- 2θ = 35.44°, I = 98.9
- 2θ = 33.32°, I = 78.3
- 2θ = 20.47°, I = 78.1
- 2θ = 35.32°, I = 76.9
- 2θ = 37.36°, I = 54.0
- 2θ = 64.40°, I = 46.6
- 2θ = 32.76°, I = 46.6
- 2θ = 31.71°, I = 46.5
- 2θ = 60.58°, I = 38.9

Crystal structure
```
Tm4Mg9Sn11
1.0
7.6788 -11.3083 0.0000
7.6788 11.3083 0.0000
0.0000 0.0000 3.4204
Tm Mg Sn
4 9 11
Direct
0.0813 0.2559 0.0000 Tm
0.2559 0.0813 0.0000 Tm
0.7441 0.9187 0.0000 Tm
0.9187 0.7441 0.0000 Tm
0.0000 0.0000 0.0000 Mg
0.1200 0.6665 0.0000 Mg
0.3000 0.4856 0.0000 Mg
0.3335 0.8800 0.0000 Mg
0.4856 0.3000 0.0000 Mg
0.5144 0.7000 0.0000 Mg
0.6665 0.1200 0.0000 Mg
0.7000 0.5144 0.0000 Mg
0.8800 0.3335 0.0000 Mg
0.0919 0.4587 0.5000 Sn
0.1222 0.8778 0.5000 Sn
0.2865 0.2865 0.5000 Sn
0.3172 0.6828 0.5000 Sn
0.4587 0.0919 0.5000 Sn
0.5000 0.5000 0.5000 Sn
0.5413 0.9081 0.5000 Sn
0.6828 0.3172 0.5000 Sn
0.7135 0.7135 0.5000 Sn
0.8778 0.1222 0.5000 Sn
0.9081 0.5413 0.5000 Sn
```

---

[4]
# Zr2UW
Calculated PXRD pattern, CuKα. Input: DFT lattice parameters and positions (PBE).
Lines closer than 0.1° are merged.

Most intense lines, 2θ from 10° to 90°, most intense first:
- 2θ = 35.56°, I = 100.0
- 2θ = 31.44°, I = 63.2
- 2θ = 44.30°, I = 48.4
- 2θ = 15.57°, I = 43.7
- 2θ = 51.85°, I = 38.1
- 2θ = 36.75°, I = 37.8
- 2θ = 72.18°, I = 35.4
- 2θ = 63.07°, I = 26.4
- 2θ = 41.20°, I = 23.2
- 2θ = 56.18°, I = 13.7

Crystal structure
```
Zr2UW
1.0
2.9479 0.0000 0.0000
-1.4739 2.5529 0.0000
0.0000 0.0000 34.1418
Zr U W
6 3 3
Direct
0.0000 0.0000 0.0810 Zr
0.0000 0.0000 0.9190 Zr
0.3333 0.6667 0.5857 Zr
0.3333 0.6667 0.7477 Zr
0.6667 0.3333 0.2523 Zr
0.6667 0.3333 0.4143 Zr
0.0000 0.0000 0.5000 U
0.3333 0.6667 0.1667 U
0.6667 0.3333 0.8333 U
0.0000 0.0000 0.0000 W
0.3333 0.6667 0.6667 W
0.6667 0.3333 0.3333 W
```